(1)
# Tb3InCu
Simulated powder X-ray diffraction pattern, Cu Kα, 1.54184 Å. Input: a crystal structure in Alexandria, relaxed with GGA-PBE.

Main lines, by angle (10 to 90 degrees two-theta):
(hkl), Position (°2θ), I_rel
3 1 1, 24.98, 60.1
1 1 2, 25.29, 29.9
3 1 2, 32.12, 57.5
3 3 1, 33.72, 58.9
0 4 1, 33.82, 78.5
4 2 1, 34.07, 100.0
4 0 2, 36.27, 45.6
0 2 3, 38.37, 78.6

Atomic structure:
Cell: 12.892 11.284 7.739 Å, 90.00 90.00 90.00°
Space group Cmce (No. 64)
Inequivalent atoms, fractional coordinates:
Tb1 0.000 0.073 0.207 x8
Tb2 0.139 0.158 0.594 x16
In1 0.250 0.082 0.250 x8
Cu1 0.000 0.194 0.883 x8

---

(2)
# InCuTc2W
Simulated powder X-ray diffraction pattern, Cu Kα, 1.54184 Å. Input: a crystal structure in Alexandria, relaxed with GGA-PBE.

Main lines, by angle (10 to 90 degrees two-theta):
(hkl), Position (°2θ), I_rel
1 0 0, 18.16, 89.0
1 1 1, 31.55, 100.0
0 0 2, 36.16, 49.9
2 0 0, 36.80, 95.1
2 0 2, 52.54, 67.2
2 2 0, 53.02, 32.7
3 1 1, 63.02, 26.9
2 2 2, 65.86, 33.5

Atomic structure:
Cell: 4.885 4.885 4.968 Å, 90.00 90.00 90.00°
Space group P4/mmm (No. 123)
Inequivalent atoms, fractional coordinates:
In1 0.000 0.000 0.000 x1
Cu1 0.500 0.500 0.500 x1
Tc1 0.000 0.500 0.000 x2
W1 0.000 0.000 0.500 x1

---

(3)
# InCu2Te4
Simulated powder X-ray diffraction pattern, Cu Kα, 1.54184 Å. Input: a crystal structure in Alexandria, relaxed with GGA-PBE.

Main lines, by angle (10 to 90 degrees two-theta):
(hkl), Position (°2θ), I_rel
2 0 0, 20.72, 23.6
0 0 2, 24.89, 46.9
2 2 0, 26.63, 83.9
1 3 0, 27.05, 33.5
0 4 0, 33.47, 93.0
4 0 0, 42.15, 100.0
5 1 -2, 43.54, 27.5
4 4 -2, 48.05, 45.5

Atomic structure:
Cell: 10.715 10.710 8.937 Å, 90.00 126.83 90.00°
Space group C2 (No. 5)
Inequivalent atoms, fractional coordinates:
In1 0.000 0.000 0.000 x2
In2 0.000 0.250 0.500 x2
Cu1 0.002 0.624 0.253 x4
Cu2 0.246 0.875 0.741 x4
Te1 0.009 0.384 0.787 x4
Te2 0.011 0.865 0.290 x4
Te3 0.220 0.633 0.710 x4
Te4 0.223 0.615 0.213 x4